(1)
# HfNbPt
Simulated X-ray powder pattern, λ = 1.5418 Å (Cu Kα). Input: a cell relaxed with PBE.
Lines closer than 0.1° are merged.

Most intense lines, 2θ = 15–90°, most intense first:
Position (°2θ)	I (rel.)
40.28	100
24.34	49
73.21	35
47.62	25
58.27	17
87.03	11
64.09	11
78.47	8
28.18	4
65.96	1

Structural model:
Cell lengths 6.333, 6.333, 6.333 Å; angles 90.00, 90.00, 90.00 degrees
Positions (direct):
1 Hf 0.000 0.000 0.000
2 Hf 0.000 0.500 0.500
3 Hf 0.500 0.000 0.500
4 Hf 0.500 0.500 0.000
5 Nb 0.000 0.000 0.500
6 Nb 0.000 0.500 0.000
7 Nb 0.500 0.000 0.000
8 Nb 0.500 0.500 0.500
9 Pt 0.250 0.250 0.250
10 Pt 0.250 0.750 0.750
11 Pt 0.750 0.250 0.750
12 Pt 0.750 0.750 0.250

***

(2)
# Hf2NbTl
Simulated X-ray powder pattern, λ = 1.5418 Å (Cu Kα). Input: a cell relaxed with PBE.
Lines closer than 0.1° are merged.

Most intense lines, 2θ = 15–90°, most intense first:
Position (°2θ)	I (rel.)
36.69	100
35.92	55
65.07	38
51.71	20
66.56	15
28.46	11
78.01	10
87.18	9
87.64	9
53.98	7

Structural model:
Cell lengths 3.536, 3.536, 6.794 Å; angles 90.00, 90.00, 90.00 degrees
Positions (direct):
1 Hf 0.000 0.000 0.227
2 Hf 0.000 0.000 0.773
3 Nb 0.500 0.500 0.000
4 Tl 0.500 0.500 0.500

***

(3)
# NdYHf2Sb2
Simulated X-ray powder pattern, λ = 1.5418 Å (Cu Kα). Input: a cell relaxed with PBE.
Lines closer than 0.1° are merged.

Most intense lines, 2θ = 15–90°, most intense first:
Position (°2θ)	I (rel.)
36.51	100
31.28	90
42.00	54
33.92	30
32.06	30
53.80	28
73.14	26
60.90	18
70.07	18
55.04	15

Structural model:
Cell lengths 4.303, 4.303, 16.749 Å; angles 90.00, 90.00, 90.00 degrees
Positions (direct):
1 Nd 0.000 0.000 0.000
2 Nd 0.500 0.500 0.500
3 Y 0.000 0.000 0.647
4 Y 0.500 0.500 0.147
5 Hf 0.000 0.500 0.321
6 Hf 0.000 0.500 0.821
7 Hf 0.500 0.000 0.321
8 Hf 0.500 0.000 0.821
9 Sb 0.000 0.000 0.193
10 Sb 0.000 0.000 0.450
11 Sb 0.500 0.500 0.693
12 Sb 0.500 0.500 0.950

***

(4)
# Hf3Ni7
Simulated X-ray powder pattern, λ = 1.5418 Å (Cu Kα). Input: a cell relaxed with PBE.
Lines closer than 0.1° are merged.

Most intense lines, 2θ = 15–90°, most intense first:
Position (°2θ)	I (rel.)
44.03	100
43.22	39
42.69	36
42.25	33
32.93	20
29.76	15
35.76	15
48.53	12
46.04	12
28.41	10

Structural model:
Cell lengths 6.505, 6.563, 7.612 Å; angles 103.37, 104.63, 112.61 degrees
Positions (direct):
1 Hf 0.001 0.229 0.368
2 Hf 0.343 0.475 0.125
3 Hf 0.401 0.045 0.278
4 Hf 0.599 0.955 0.722
5 Hf 0.657 0.525 0.875
6 Hf 0.999 0.771 0.632
7 Ni 0.000 0.000 0.000
8 Ni 0.054 0.200 0.766
9 Ni 0.116 0.674 0.957
10 Ni 0.222 0.674 0.393
11 Ni 0.272 0.564 0.716
12 Ni 0.316 0.138 0.593
13 Ni 0.393 0.115 0.940
14 Ni 0.500 0.500 0.500
15 Ni 0.607 0.885 0.060
16 Ni 0.684 0.862 0.407
17 Ni 0.728 0.436 0.284
18 Ni 0.778 0.326 0.607
19 Ni 0.884 0.326 0.043
20 Ni 0.946 0.800 0.234

***

(5)
# Hf7Ni10
Simulated X-ray powder pattern, λ = 1.5418 Å (Cu Kα). Input: a cell relaxed with PBE.
Lines closer than 0.1° are merged.

Most intense lines, 2θ = 15–90°, most intense first:
Position (°2θ)	I (rel.)
38.30	100
40.68	94
39.70	50
27.79	36
42.46	28
57.40	20
64.69	18
63.97	17
42.89	16
29.11	15

Structural model:
Cell lengths 9.088, 7.630, 7.630 Å; angles 72.97, 90.00, 90.00 degrees
Positions (direct):
1 Hf 0.000 0.000 0.000
2 Hf 0.000 0.307 0.307
3 Hf 0.000 0.615 0.615
4 Hf 0.186 0.993 0.621
5 Hf 0.250 0.304 0.810
6 Hf 0.250 0.804 0.310
7 Hf 0.314 0.493 0.121
8 Hf 0.500 0.115 0.115
9 Hf 0.500 0.500 0.500
10 Hf 0.500 0.807 0.807
11 Hf 0.686 0.121 0.493
12 Hf 0.750 0.310 0.804
13 Hf 0.750 0.810 0.304
14 Hf 0.814 0.621 0.993
15 Ni 0.006 0.661 0.244
16 Ni 0.007 0.372 0.953
17 Ni 0.106 0.701 0.914
18 Ni 0.208 0.155 0.170
19 Ni 0.208 0.445 0.459
20 Ni 0.292 0.655 0.670
21 Ni 0.292 0.945 0.959
22 Ni 0.394 0.201 0.414
23 Ni 0.493 0.872 0.453
24 Ni 0.494 0.161 0.744
25 Ni 0.506 0.744 0.161
26 Ni 0.507 0.453 0.872
27 Ni 0.606 0.414 0.201
28 Ni 0.708 0.670 0.655
29 Ni 0.708 0.959 0.945
30 Ni 0.792 0.170 0.155
31 Ni 0.792 0.459 0.445
32 Ni 0.894 0.914 0.701
33 Ni 0.993 0.953 0.372
34 Ni 0.994 0.244 0.661

***

(6)
# Hf2NiSb2Os
Simulated X-ray powder pattern, λ = 1.5418 Å (Cu Kα). Input: a cell relaxed with PBE.
Lines closer than 0.1° are merged.

Most intense lines, 2θ = 15–90°, most intense first:
Position (°2θ)	I (rel.)
41.00	100
74.69	34
24.77	26
28.68	21
48.50	13
59.33	11
88.97	8
50.80	6
15.91	6
59.48	6

Structural model:
Cell lengths 7.620, 7.620, 7.620 Å; angles 131.74, 131.74, 70.65 degrees
Positions (direct):
1 Hf 0.122 0.625 0.997
2 Hf 0.375 0.372 0.497
3 Hf 0.628 0.125 0.003
4 Hf 0.875 0.878 0.503
5 Ni 0.000 0.000 0.000
6 Ni 0.750 0.250 0.500
7 Sb 0.119 0.125 0.494
8 Sb 0.375 0.881 0.006
9 Sb 0.631 0.625 0.506
10 Sb 0.875 0.369 0.994
11 Os 0.250 0.750 0.500
12 Os 0.500 0.500 0.000